Record 1
The following is a calculated X-ray diffraction stick pattern of AcBe3As4. It was derived from the GGA-PBE geometry in Alexandria, using Cu Kα, 1.54184 Å.
Kinematic intensities with the Lorentz-polarization factor, no thermal factor.

The 10 most intense peaks (2θ = 5–70°), by intensity:
2θ (°)	intensity
36.30	100
17.92	93
31.30	55
65.31	36
48.68	33
40.77	25
52.28	19
68.34	17
55.72	15
62.21	8

Crystal structure
```
16
Lattice="6.9992 0.0000 0.0000 0.0000 6.9992 0.0000 0.0000 0.0000 6.9992" Properties=species:S:1:pos:R:3 pbc="T T T"
Ac 0.0000 0.0000 0.0000
Ac 3.4996 3.4996 3.4996
Be 0.0000 1.7498 3.4996
Be 0.0000 5.2494 3.4996
Be 1.7498 3.4996 0.0000
Be 3.4996 0.0000 1.7498
Be 3.4996 0.0000 5.2494
Be 5.2494 3.4996 0.0000
As 1.7498 1.7498 1.7498
As 1.7498 1.7498 5.2494
As 1.7498 5.2494 1.7498
As 1.7498 5.2494 5.2494
As 5.2494 1.7498 1.7498
As 5.2494 1.7498 5.2494
As 5.2494 5.2494 1.7498
As 5.2494 5.2494 5.2494
```



Record 2
The following is a calculated X-ray diffraction stick pattern of AcBeAsO6. It was derived from the GGA-PBE geometry in Alexandria, using Cu Kα, 1.54184 Å.
Kinematic intensities with the Lorentz-polarization factor, no thermal factor.

The 10 most intense peaks (2θ = 5–70°), by intensity:
2θ (°)	intensity
26.72	100
20.88	34
50.33	27
60.05	21
45.88	20
36.58	20
39.67	19
40.37	12
55.67	12
42.49	10

Crystal structure
```
9
Lattice="4.9131 0.0000 0.0000 -2.4565 4.2549 0.0000 0.0000 0.0000 5.3738" Properties=species:S:1:pos:R:3 pbc="T T T"
Ac 0.0000 0.0000 0.0000
Be 2.4565 1.4183 2.6869
As 0.0000 2.8366 2.6869
O -0.9527 1.6674 3.7474
O -1.4888 2.5961 1.6264
O 0.9527 1.6674 1.6264
O -0.5362 4.2462 3.7474
O 1.4888 2.5961 3.7474
O 0.5362 4.2462 1.6264
```



Record 3
The following is a calculated X-ray diffraction stick pattern of Ac3BiAs4. It was derived from the GGA-PBE geometry in Alexandria, using Cu Kα, 1.54184 Å.
Kinematic intensities with the Lorentz-polarization factor, no thermal factor.

The 10 most intense peaks (2θ = 5–70°), by intensity:
2θ (°)	intensity
33.13	100
23.07	61
40.52	40
53.30	27
69.04	25
64.55	18
25.92	14
53.86	12
47.35	12
23.45	12

Crystal structure
```
8
Lattice="4.4521 0.0000 0.0000 -2.2260 3.8556 0.0000 0.0000 0.0000 15.1752" Properties=species:S:1:pos:R:3 pbc="T T T"
Ac 0.0000 0.0000 0.0000
Ac 0.0000 0.0000 3.9490
Ac 0.0000 0.0000 11.2262
Bi 0.0000 0.0000 7.5876
As 0.0000 2.5704 5.8719
As 0.0000 2.5704 13.2033
As 2.2260 1.2852 1.9719
As 2.2260 1.2852 9.3033
```



Record 4
The following is a calculated X-ray diffraction stick pattern of Ac4BiAs5. It was derived from the GGA-PBE geometry in Alexandria, using Cu Kα, 1.54184 Å.
Kinematic intensities with the Lorentz-polarization factor, no thermal factor.

The 10 most intense peaks (2θ = 5–70°), by intensity:
2θ (°)	intensity
28.05	100
39.93	40
40.24	37
24.17	32
49.51	21
65.41	19
65.85	16
57.99	13
47.36	11
24.41	10

Crystal structure
```
10
Lattice="2.2577 1.3035 18.2299 -2.2577 1.3035 18.2299 0.0000 -2.6070 18.2299" Properties=species:S:1:pos:R:3 pbc="T T T"
Ac 0.0000 0.0000 5.6207
Ac 0.0000 0.0000 16.3585
Ac 0.0000 0.0000 38.3311
Ac 0.0000 0.0000 49.0689
Bi 0.0000 0.0000 27.3448
As 0.0000 0.0000 0.0000
As 0.0000 0.0000 10.8033
As 0.0000 0.0000 21.9708
As 0.0000 0.0000 32.7188
As 0.0000 0.0000 43.8863
```



Record 5
The following is a calculated X-ray diffraction stick pattern of Ac3BiAs. It was derived from the GGA-PBE geometry in Alexandria, using Cu Kα, 1.54184 Å.
Kinematic intensities with the Lorentz-polarization factor, no thermal factor.

The 10 most intense peaks (2θ = 5–70°), by intensity:
2θ (°)	intensity
28.93	100
27.51	80
26.56	49
39.24	34
28.58	27
23.86	23
29.97	22
48.61	22
32.50	20
27.94	17

Crystal structure
```
20
Lattice="9.5296 0.0000 0.0000 0.0000 4.5923 0.0000 0.0000 0.0000 17.2160" Properties=species:S:1:pos:R:3 pbc="T T T"
Ac 0.1691 1.1481 1.8216
Ac 1.4969 1.1481 9.2866
Ac 1.5860 3.4442 4.9985
Ac 3.1787 1.1481 13.6065
Ac 3.2679 3.4442 0.6786
Ac 4.5957 3.4442 10.4296
Ac 4.9339 1.1481 6.7864
Ac 6.2617 1.1481 16.5374
Ac 6.3508 3.4442 3.6095
Ac 7.9435 1.1481 12.2175
Ac 8.0327 3.4442 7.9294
Ac 9.3605 3.4442 15.3944
Bi 1.1097 3.4442 11.9908
Bi 3.6551 1.1481 3.3827
Bi 5.8745 3.4442 13.8333
Bi 8.4199 1.1481 5.2253
As 1.8256 1.1481 16.3472
As 2.9392 3.4442 7.7392
As 6.5904 1.1481 9.4769
As 7.7040 3.4442 0.8689
```



Record 6
The following is a calculated X-ray diffraction stick pattern of Ac2BiAs3Ir4. It was derived from the GGA-PBE geometry in Alexandria, using Cu Kα, 1.54184 Å.
Kinematic intensities with the Lorentz-polarization factor, no thermal factor.

The 10 most intense peaks (2θ = 5–70°), by intensity:
2θ (°)	intensity
33.39	100
41.86	46
31.58	28
45.41	22
63.46	17
60.68	16
53.36	13
43.74	13
26.01	10
31.78	8

Crystal structure
```
10
Lattice="4.3166 0.0000 0.0000 0.0000 4.3166 0.0000 0.0000 0.0000 11.2643" Properties=species:S:1:pos:R:3 pbc="T T T"
Ac 0.0000 2.1583 2.6884
Ac 2.1583 0.0000 8.5759
Bi 0.0000 0.0000 5.6322
As 0.0000 2.1583 9.8475
As 2.1583 0.0000 1.4168
As 2.1583 2.1583 5.6322
Ir 0.0000 0.0000 0.0000
Ir 0.0000 2.1583 7.4127
Ir 2.1583 0.0000 3.8516
Ir 2.1583 2.1583 0.0000
```



Record 7
The following is a calculated X-ray diffraction stick pattern of AcBiAs2O8. It was derived from the GGA-PBE geometry in Alexandria, using Cu Kα, 1.54184 Å.
Kinematic intensities with the Lorentz-polarization factor, no thermal factor.

The 10 most intense peaks (2θ = 5–70°), by intensity:
2θ (°)	intensity
28.20	100
45.76	29
57.56	28
18.42	24
34.15	23
51.58	19
29.53	19
58.32	13
39.07	12
49.07	12

Crystal structure
```
12
Lattice="-2.6256 2.6256 6.0490 2.6256 -2.6256 6.0490 2.6256 2.6256 -6.0490" Properties=species:S:1:pos:R:3 pbc="T T T"
Ac 0.0000 0.0000 0.0000
Bi 2.6256 0.0000 3.0245
As 0.0000 0.0000 6.0490
As 0.0000 2.6256 3.0245
O 1.2973 -0.6579 5.1111
O 1.9677 1.3283 0.9379
O -0.7387 1.3470 2.1205
O 1.3283 3.2835 -0.9379
O 1.2785 1.8868 3.9285
O 0.6579 1.2973 6.9870
O 0.7387 3.9041 2.1205
O -1.2785 3.3643 3.9285
```



Record 8
The following is a calculated X-ray diffraction stick pattern of Ac2BiAsRh6. It was derived from the GGA-PBE geometry in Alexandria, using Cu Kα, 1.54184 Å.
Kinematic intensities with the Lorentz-polarization factor, no thermal factor.

The 10 most intense peaks (2θ = 5–70°), by intensity:
2θ (°)	intensity
37.30	100
37.15	49
27.18	29
27.28	29
27.39	28
50.60	28
46.47	27
33.32	26
47.11	26
33.09	26

Crystal structure
```
10
Lattice="6.5134 0.0000 0.0000 3.2336 5.6834 0.0000 3.2040 1.8270 6.1620" Properties=species:S:1:pos:R:3 pbc="T T T"
Ac 3.2381 1.8805 1.6642
Ac 9.7129 5.6299 4.4978
Bi 6.4755 3.7552 3.0810
As 0.0000 0.0000 0.0000
Rh 6.4469 5.3225 5.2431
Rh 5.0745 2.9192 5.2049
Rh 5.1168 4.5893 0.9347
Rh 7.8342 2.9211 5.2273
Rh 7.8765 4.5911 0.9571
Rh 6.5041 2.1878 0.9190
```



Record 9
The following is a calculated X-ray diffraction stick pattern of Sr3AcBi2As. It was derived from the GGA-PBE geometry in Alexandria, using Cu Kα, 1.54184 Å.
Kinematic intensities with the Lorentz-polarization factor, no thermal factor.

The 10 most intense peaks (2θ = 5–70°), by intensity:
2θ (°)	intensity
29.82	100
23.92	51
30.16	50
31.36	45
10.11	39
29.95	36
44.06	36
21.62	31
15.79	30
21.79	29

Crystal structure
```
14
Lattice="5.7054 0.0000 0.0000 0.0000 5.9261 0.0000 0.0000 0.0000 17.5045" Properties=species:S:1:pos:R:3 pbc="T T T"
Sr 0.0000 0.0000 0.0000
Sr 0.0000 2.9631 5.6354
Sr 0.0000 2.9631 11.8691
Sr 2.8527 0.0000 3.1169
Sr 2.8527 0.0000 14.3877
Sr 2.8527 2.9631 8.7523
Ac 0.0000 0.0000 8.7523
Ac 2.8527 2.9631 0.0000
Bi 0.0000 2.9631 2.2892
Bi 0.0000 2.9631 15.2153
Bi 2.8527 0.0000 6.4631
Bi 2.8527 0.0000 11.0414
As 0.0000 2.9631 8.7523
As 2.8527 0.0000 0.0000
```



Record 10
The following is a calculated X-ray diffraction stick pattern of Ac3AsBr3. It was derived from the GGA-PBE geometry in Alexandria, using Cu Kα, 1.54184 Å.
Kinematic intensities with the Lorentz-polarization factor, no thermal factor.

The 10 most intense peaks (2θ = 5–70°), by intensity:
2θ (°)	intensity
28.19	100
40.29	75
9.88	37
65.98	32
49.89	26
26.33	21
24.35	21
58.29	12
33.18	11
47.63	10

Crystal structure
```
28
Lattice="-6.3320 6.3320 6.3320 6.3320 -6.3320 6.3320 6.3320 6.3320 -6.3320" Properties=species:S:1:pos:R:3 pbc="T T T"
Ac 1.7065 1.5830 -1.4595
Ac 7.7915 1.7065 -1.5830
Ac 1.5830 -1.4595 1.7065
Ac 4.8725 4.6255 -1.5830
Ac 4.6255 1.5830 1.4595
Ac -1.4595 1.7065 1.5830
Ac 4.6255 -1.5830 4.8725
Ac 1.5830 1.4595 4.6255
Ac 1.4595 4.6255 1.5830
Ac 1.7065 -1.5830 7.7915
Ac -1.5830 7.7915 1.7065
Ac -1.5830 4.8725 4.6255
As 4.7490 1.5830 -1.5830
As 1.5830 1.5830 1.5830
As 1.5830 -1.5830 4.7490
As -1.5830 4.7490 1.5830
Br 7.9150 1.5166 1.6494
Br 7.9150 -1.5166 4.6826
Br 4.6826 7.9150 -1.5166
Br 4.8154 1.6494 4.7490
Br 4.7490 4.8154 1.6494
Br 1.6494 7.9150 1.5166
Br 7.8486 4.6826 4.7490
Br 1.6494 4.7490 4.8154
Br 1.5166 1.6494 7.9150
Br 4.7490 7.8486 4.6826
Br -1.5166 4.6826 7.9150
Br 4.6826 4.7490 7.8486
```



Record 11
The following is a calculated X-ray diffraction stick pattern of AcAsRh6C. It was derived from the GGA-PBE geometry in Alexandria, using Cu Kα, 1.54184 Å.
Kinematic intensities with the Lorentz-polarization factor, no thermal factor.

The 10 most intense peaks (2θ = 5–70°), by intensity:
2θ (°)	intensity
33.73	100
35.05	62
47.20	49
28.87	40
44.41	38
36.33	35
27.11	32
52.25	28
45.86	27
26.51	24

Crystal structure
```
18
Lattice="-3.5028 4.0795 5.5872 3.5028 -4.0795 5.5872 3.5028 4.0795 -5.5872" Properties=species:S:1:pos:R:3 pbc="T T T"
Ac 0.0000 2.0397 1.8899
Ac 3.5028 2.0397 3.6973
As 1.7514 2.0397 -2.7936
As 1.7514 -2.0397 2.7936
Rh 2.0465 -0.1474 1.3764
Rh 4.9592 -0.1474 1.3764
Rh 3.5028 -2.0397 4.4241
Rh 3.5028 2.0397 0.3459
Rh 2.0465 3.9321 -1.3764
Rh 1.4564 -0.1474 4.2108
Rh 2.0465 4.2269 1.3764
Rh 1.4564 0.1474 6.9636
Rh 0.0000 2.0397 5.2413
Rh 0.0000 6.1192 1.1631
Rh -1.4564 4.2269 4.2108
Rh 1.4564 4.2269 4.2108
C 3.5028 0.0000 0.0000
C 0.0000 0.0000 5.5872
```



Record 12
The following is a calculated X-ray diffraction stick pattern of CaAc2AsO6. It was derived from the GGA-PBE geometry in Alexandria, using Cu Kα, 1.54184 Å.
Kinematic intensities with the Lorentz-polarization factor, no thermal factor.

The 10 most intense peaks (2θ = 5–70°), by intensity:
2θ (°)	intensity
28.83	100
44.21	43
30.84	42
53.61	37
49.77	31
36.36	29
18.78	28
21.68	28
64.29	20
59.72	11

Crystal structure
```
10
Lattice="5.7981 0.0000 0.0000 0.0000 5.7981 0.0000 0.0000 0.0000 4.7262" Properties=species:S:1:pos:R:3 pbc="T T T"
Ca 0.0000 0.0000 0.0000
Ac 0.0000 2.8990 2.0631
Ac 2.8990 0.0000 2.0631
As 2.8990 2.8990 0.1085
O 0.0000 0.0000 2.5153
O 1.5478 1.5478 0.5603
O 1.5478 4.2503 0.5603
O 2.8990 2.8990 2.9966
O 4.2503 1.5478 0.5603
O 4.2503 4.2503 0.5603
```